Entry 1:
Simulated XRD peak list of LiCrP4O12 for copper Kα, from DFT lattice parameters and positions (GGA+U).

Principal peaks in the range 2θ from 10° to 90°, by angle:
| 2θ/deg | d [Å] | I (rel.) |
| --- | --- | --- |
| 12.26 | 7.219 | 52.5 |
| 13.22 | 6.700 | 100.0 |
| 13.93 | 6.356 | 30.6 |
| 23.61 | 3.769 | 68.7 |
| 23.76 | 3.744 | 36.6 |
| 31.88 | 2.807 | 33.2 |

Cell and atoms:
```
LiCrP4O12
1.0
5.2163 0.0000 0.0000
0.0000 13.3993 0.0000
-1.1985 0.0000 7.2194
Li Cr P O
2 2 8 24
Cartesian
0.6523 0.0000 0.9081
3.3656 6.6997 6.3113
-0.6165 9.0994 4.1946
4.6343 2.3997 3.0248
0.3749 10.5582 6.8988
0.8390 1.9300 5.9348
2.0384 4.3426 2.7665
1.9298 7.2989 3.6021
2.0880 0.5993 3.6173
1.9794 11.0423 4.4529
3.1788 8.6297 1.2846
3.6429 3.8586 0.3206
-0.2647 2.2795 4.9698
0.7001 11.6376 0.1934
-0.2046 9.3705 6.1471
0.5692 4.0532 2.8946
0.5176 7.4021 4.1161
0.9891 1.1417 2.7107
1.0287 10.1039 3.7598
0.5206 1.1366 7.1346
1.6947 12.4634 3.7823
2.0001 7.8675 2.1246
1.5662 11.2342 5.9804
2.4394 10.0091 0.9196
1.5784 3.3094 6.2997
2.4516 4.5346 1.2390
2.0177 1.1679 5.0948
2.3231 5.7637 3.4371
3.4972 7.8363 0.0848
2.9891 3.4042 3.4596
3.0287 7.8414 4.5087
3.5002 0.7024 3.1032
3.4486 10.7528 4.3248
4.2224 2.6708 1.0723
3.3177 4.9379 7.0260
4.2826 8.9792 2.2496
```

Entry 2:
Simulated XRD peak list of LiCrPO4 for copper Kα, from DFT lattice parameters and positions (GGA+U).

Principal peaks in the range 2θ from 10° to 90°, by angle:
| 2θ/deg | d [Å] | I (rel.) |
| --- | --- | --- |
| 10.96 | 8.073 | 100.0 |
| 18.20 | 4.873 | 14.9 |
| 18.48 | 4.800 | 52.2 |
| 27.35 | 3.261 | 20.4 |
| 27.47 | 3.247 | 20.0 |
| 33.96 | 2.640 | 18.3 |

Cell and atoms:
```
LiCrPO4
1.0
3.6075 -3.5644 0.0000
3.6075 3.5644 0.0000
-0.6054 0.0000 16.1459
Li Cr P O
4 4 4 16
Cartesian
0.9166 1.1009 7.1100
0.6139 -1.1009 15.1830
5.9958 1.1009 0.9630
5.6931 -1.1009 9.0360
1.6570 0.2245 4.0487
1.3543 -0.2245 12.1217
5.2554 0.2245 4.0243
4.9526 -0.2245 12.0972
3.3310 1.9902 5.9711
3.5814 1.9902 2.1019
3.0283 -1.9902 14.0440
3.2787 -1.9902 10.1749
2.0920 2.0145 4.9488
0.2156 0.2451 13.7939
0.5184 -0.2451 5.7209
2.7502 1.9287 7.3711
2.7603 0.7327 2.4443
4.1622 1.9287 0.7018
4.8204 2.0145 3.1242
2.4576 -0.7327 10.5172
4.1521 0.7327 5.6287
1.7893 -2.0145 13.0218
2.4475 -1.9287 15.4441
3.8494 -0.7327 13.7017
3.8595 -1.9287 8.7748
6.0913 0.2451 10.4250
6.3940 -0.2451 2.3521
4.5177 -2.0145 11.1972
```

Entry 3:
Simulated XRD peak list of LiCrPO4 for copper Kα, from DFT lattice parameters and positions (GGA+U).

Principal peaks in the range 2θ from 10° to 90°, by angle:
| 2θ/deg | d [Å] | I (rel.) |
| --- | --- | --- |
| 14.93 | 5.934 | 100.0 |
| 22.01 | 4.038 | 50.1 |
| 31.96 | 2.800 | 39.5 |
| 32.21 | 2.779 | 95.5 |
| 32.62 | 2.745 | 82.1 |
| 35.26 | 2.545 | 76.3 |

Cell and atoms:
```
LiCrPO4
1.0
5.7650 0.0000 0.0000
1.3979 6.0920 0.0000
1.2355 2.0812 8.9448
Li Cr P O
4 4 4 16
Cartesian
1.5266 3.4201 2.2013
3.8627 5.1010 5.5530
4.5357 3.0722 3.3919
6.8718 4.7532 6.7435
3.3794 7.0649 8.0223
3.5703 6.3887 2.6122
4.8281 1.7846 6.3327
5.0189 1.1084 0.9225
2.0580 2.3250 5.1482
3.3676 3.8806 8.4737
5.0307 4.2927 0.4711
6.3403 5.8482 3.7966
1.8094 5.2709 3.0520
2.0587 2.9985 8.4556
1.6181 1.8971 3.7229
3.0148 5.1071 7.5645
4.0370 7.1918 5.9884
2.4756 2.1782 0.9764
3.2312 3.3189 5.0387
3.8511 5.0698 1.0859
4.5473 3.1034 7.8590
5.1672 4.8543 3.9061
5.9228 5.9951 7.9685
4.3613 0.9815 2.9564
5.3835 3.0661 1.3804
6.7803 6.2762 5.2219
6.3397 5.1748 0.4892
6.5890 2.9023 5.8929
```

Entry 4:
Simulated XRD peak list of LiCrP2O7 for copper Kα, from DFT lattice parameters and positions (GGA+U).

Principal peaks in the range 2θ from 10° to 90°, by angle:
| 2θ/deg | d [Å] | I (rel.) |
| --- | --- | --- |
| 17.63 | 5.031 | 100.0 |
| 17.85 | 4.969 | 32.1 |
| 22.88 | 3.886 | 27.2 |
| 28.53 | 3.128 | 55.2 |
| 29.58 | 3.020 | 77.7 |
| 30.04 | 2.975 | 37.6 |

Cell and atoms:
```
LiCrP2O7
1.0
4.8161 -4.1002 0.0000
4.8161 4.1002 0.0000
-4.5663 0.0000 12.5185
Li Cr P O
4 4 8 28
Cartesian
0.5529 0.8924 1.9122
-1.7303 -0.8924 8.1715
6.7962 0.8924 4.3470
4.5131 -0.8924 10.6063
1.8464 1.9307 4.5198
5.5026 1.9307 1.7394
-0.4367 -1.9307 10.7791
3.2195 -1.9307 7.9987
-2.3028 0.6484 10.8102
-0.0196 -0.6484 4.5509
0.9936 0.3352 7.1580
3.2767 -0.3352 0.8987
1.7892 0.3352 11.6198
4.0723 -0.3352 5.3605
5.0856 0.6484 7.9676
7.3687 -0.6484 1.7083
1.9456 2.2799 2.4862
4.0771 3.3607 1.5071
0.3203 0.7346 3.9631
3.2720 3.3607 4.7521
-0.3490 0.5949 7.8577
-1.6219 0.7557 12.2511
1.5749 1.5916 6.4893
-1.9628 -0.7346 10.2223
1.9342 -0.5949 1.5985
0.6612 -0.7557 5.9919
1.2079 1.5916 12.2885
5.4035 2.2799 3.7730
3.0943 0.3834 4.4568
4.2547 0.3834 1.8024
0.8112 -0.3834 10.7161
1.9716 -0.3834 8.0617
-0.3376 -2.2799 8.7455
3.8581 -1.5916 0.2300
4.4047 0.7557 6.5266
3.1318 0.5949 10.9201
7.0287 0.7346 2.2962
3.4910 -1.5916 6.0292
6.6878 -0.7557 0.2674
5.4149 -0.5949 4.6608
1.7939 -3.3607 7.7664
4.7456 -0.7346 8.5554
0.9889 -3.3607 11.0114
3.1204 -2.2799 10.0323
```